This entry pairs a crystal structure of PrCrO5 with its simulated X-ray powder pattern. Radiation: copper Kα. Structure: a structure optimized by DFT (GGA+U).
Intensities are scaled so that the largest is 100.

Atomic structure:
```
data_PrCrO5
_chemical_formula_sum 'Pr2 Cr2 O10'
_cell_length_a 7.4929
_cell_length_b 7.4929
_cell_length_c 4.6988
_cell_angle_alpha 90.00
_cell_angle_beta 90.00
_cell_angle_gamma 90.00
_symmetry_space_group_name_H-M 'P 4/n m m'
_symmetry_Int_Tables_number 129
loop_
_symmetry_equiv_pos_as_xyz
'x,y,z'
'-x,-y,-z'
'-y+1/2,x,z'
'y+1/2,-x,-z'
'-x+1/2,-y+1/2,z'
'x+1/2,y+1/2,-z'
'y,-x+1/2,z'
'-y,x+1/2,-z'
'x+1/2,-y,-z'
'-x+1/2,y,z'
'-y,-x,-z'
'y,x,z'
'-x,y+1/2,-z'
'x,-y+1/2,z'
'y+1/2,x+1/2,-z'
'-y+1/2,-x+1/2,z'
loop_
_atom_site_label
_atom_site_type_symbol
_atom_site_fract_x
_atom_site_fract_y
_atom_site_fract_z
Pr1 Pr 0.2500 0.2500 0.2402
Cr1 Cr 0.2500 0.7500 0.5000
O1 O 0.0687 0.7500 0.7044
O2 O 0.2500 0.2500 0.7433
```

Most intense lines, 15 to 90 degrees two-theta, low angle first:
16.73°, rel. 23.4, hkl 1 1 0; 22.33°, rel. 92.2, hkl 1 0 1; 23.75°, rel. 100.0, hkl 2 0 0; 32.83°, rel. 27.0, hkl 2 1 1; 33.84°, rel. 22.1, hkl 2 2 0; 40.92°, rel. 31.5, hkl 3 0 1; 42.07°, rel. 29.7, hkl 1 1 2; 55.04°, rel. 36.5, hkl 3 1 2